(1)
For Ac5Tl5Ir, the PBE geometry in Alexandria gives the computed powder X-ray diffraction pattern in this record (Cu Ka).
Neutral-atom scattering factors, no anomalous dispersion.

Cell and atoms:
```
data_Ac5Tl5Ir
_chemical_formula_sum 'Ac5 Tl5 Ir1'
_symmetry_space_group_name_H-M 'P 1'
_symmetry_Int_Tables_number 1
_cell_length_a 9.8240
_cell_length_b 9.8240
_cell_length_c 9.8240
_cell_angle_alpha 146.28
_cell_angle_beta 129.25
_cell_angle_gamma 62.32
loop_
_symmetry_equiv_pos_as_xyz
'x,y,z'
loop_
_atom_site_label
_atom_site_fract_x
_atom_site_fract_y
_atom_site_fract_z
Ac1 0.0000 0.0000 0.0000
Ac2 0.0799 0.3550 0.7249
Ac3 0.3700 0.6450 0.7249
Ac4 0.6300 0.3550 0.2751
Ac5 0.9201 0.6450 0.2751
Tl1 0.2033 0.2033 0.0000
Tl2 0.3506 0.8506 0.5000
Tl3 0.5000 0.5000 0.0000
Tl4 0.6494 0.1494 0.5000
Tl5 0.7967 0.7967 0.0000
Ir1 0.0000 0.5000 0.5000
```

Top 12 peaks for 10° ≤ 2θ ≤ 90°, sorted by position:
| two_theta | intensity |
| --- | --- |
| 26.9 | 25 |
| 28.4 | 32 |
| 30.0 | 27 |
| 30.9 | 100 |
| 31.4 | 46 |
| 31.9 | 22 |
| 43.0 | 26 |
| 44.0 | 20 |
| 45.4 | 17 |
| 54.2 | 23 |
| 55.6 | 20 |
| 64.3 | 11 |



(2)
For K6TiF12, the PBE geometry in Alexandria gives the computed powder X-ray diffraction pattern in this record (Cu Ka).
Neutral-atom scattering factors, no anomalous dispersion.

Cell and atoms:
```
data_K6TiF12
_chemical_formula_sum 'K6 Ti1 F12'
_symmetry_space_group_name_H-M 'P 1'
_symmetry_Int_Tables_number 1
_cell_length_a 7.3113
_cell_length_b 7.3113
_cell_length_c 7.3113
_cell_angle_alpha 98.85
_cell_angle_beta 98.85
_cell_angle_gamma 98.85
loop_
_symmetry_equiv_pos_as_xyz
'x,y,z'
loop_
_atom_site_label
_atom_site_fract_x
_atom_site_fract_y
_atom_site_fract_z
K1 0.1562 0.2741 0.6075
K2 0.2741 0.6075 0.1562
K3 0.3925 0.8438 0.7259
K4 0.6075 0.1562 0.2741
K5 0.7259 0.3925 0.8438
K6 0.8438 0.7259 0.3925
Ti1 0.0000 0.0000 0.0000
F1 0.0106 0.9463 0.7394
F2 0.0537 0.2606 0.9894
F3 0.1473 0.5820 0.4689
F4 0.2606 0.9894 0.0537
F5 0.4180 0.5311 0.8527
F6 0.4689 0.1473 0.5820
F7 0.5311 0.8527 0.4180
F8 0.5820 0.4689 0.1473
F9 0.7394 0.0106 0.9463
F10 0.8527 0.4180 0.5311
F11 0.9463 0.7394 0.0106
F12 0.9894 0.0537 0.2606
```

Top 12 peaks for 10° ≤ 2θ ≤ 90°, sorted by position:
| two_theta | intensity |
| --- | --- |
| 12.5 | 12 |
| 19.2 | 11 |
| 20.3 | 9 |
| 25.4 | 34 |
| 25.9 | 100 |
| 29.9 | 9 |
| 34.7 | 12 |
| 37.8 | 9 |
| 42.4 | 50 |
| 43.1 | 38 |
| 50.0 | 8 |
| 50.7 | 30 |



(3)
For Ta2MoPbN, the PBE geometry in Alexandria gives the computed powder X-ray diffraction pattern in this record (Cu Ka).
Neutral-atom scattering factors, no anomalous dispersion.

Cell and atoms:
```
data_Ta2MoPbN
_chemical_formula_sum 'Ta2 Mo1 Pb1 N1'
_symmetry_space_group_name_H-M 'P 1'
_symmetry_Int_Tables_number 1
_cell_length_a 4.7895
_cell_length_b 4.7895
_cell_length_c 5.2791
_cell_angle_alpha 90.00
_cell_angle_beta 90.00
_cell_angle_gamma 90.00
loop_
_symmetry_equiv_pos_as_xyz
'x,y,z'
loop_
_atom_site_label
_atom_site_fract_x
_atom_site_fract_y
_atom_site_fract_z
Ta1 0.0000 0.5000 0.0000
Ta2 0.5000 0.0000 0.0000
Mo1 0.0000 0.0000 0.0000
Pb1 0.0000 0.0000 0.5000
N1 0.5000 0.5000 0.5000
```

Top 12 peaks for 10° ≤ 2θ ≤ 90°, sorted by position:
| two_theta | intensity |
| --- | --- |
| 16.8 | 29 |
| 18.5 | 65 |
| 31.4 | 100 |
| 34.0 | 41 |
| 37.6 | 62 |
| 39.0 | 21 |
| 42.2 | 17 |
| 51.5 | 50 |
| 54.2 | 22 |
| 59.2 | 17 |
| 63.9 | 27 |
| 65.5 | 24 |